Diffraction record for Tb3Pr7Tl. The powder XRD pattern is theoretical, not measured: it uses a structure optimized by DFT (PBE) and Cu Ka.

Structure:
```
data_Tb3Pr7Tl
_cell_length_a 7.1683
_cell_length_b 7.1683
_cell_length_c 8.7013
_cell_angle_alpha 90.00
_cell_angle_beta 90.00
_cell_angle_gamma 120.00
_space_group_name_H-M_alt 'P 3 m 1'
_space_group_IT_number 156
_space_group_name_Hall 'P 3 -2"'
loop_
_atom_site_label
_atom_site_type_symbol
_atom_site_fract_x
_atom_site_fract_y
_atom_site_fract_z
Tb1 Tb 0.1672 0.3343 0.0000
Pr1 Pr 0.0040 0.5020 0.6704
Pr2 Pr 0.3289 0.1644 0.3360
Pr3 Pr 0.3333 0.6667 0.3292
Tl1 Tl 0.0000 0.0000 0.6810
```

Most intense lines, 2θ from 10° to 90°, most intense first:
| h k l | d_spacing | Position (°2θ) | I_rel |
| --- | --- | --- | --- |
| 0 2 1 | 2.924 | 30.6 | 100 |
| 2 0 2 | 2.527 | 35.5 | 67 |
| 0 0 3 | 2.900 | 30.8 | 32 |
| 2 2 3 | 1.525 | 60.8 | 28 |
| 2 2 0 | 1.792 | 51.0 | 24 |
| 0 2 4 | 1.781 | 51.3 | 24 |
| 4 0 1 | 1.528 | 60.6 | 14 |
| 2 0 5 | 1.518 | 61.0 | 14 |
| 0 4 2 | 1.462 | 63.7 | 12 |
| 2 4 1 | 1.163 | 83.1 | 12 |
| 4 2 2 | 1.133 | 85.8 | 11 |
| 2 2 6 | 1.127 | 86.3 | 10 |

---

Diffraction record for Pm3GaOs. The powder XRD pattern is theoretical, not measured: it uses a structure optimized by DFT (PBE) and Cu Ka.

Structure:
```
data_Pm3GaOs
_cell_length_a 6.5838
_cell_length_b 9.7149
_cell_length_c 16.0540
_cell_angle_alpha 90.00
_cell_angle_beta 90.00
_cell_angle_gamma 90.00
_space_group_name_H-M_alt 'F m m m'
_space_group_IT_number 69
_space_group_name_Hall '-F 2 2'
loop_
_atom_site_label
_atom_site_type_symbol
_atom_site_fract_x
_atom_site_fract_y
_atom_site_fract_z
Pm1 Pm 0.0000 0.0000 0.1969
Pm2 Pm 0.0000 0.1891 0.3960
Ga1 Ga 0.1904 0.0000 0.0000
Os1 Os 0.2500 0.2500 0.2500
```

Most intense lines, 2θ from 10° to 90°, most intense first:
| h k l | d_spacing | Position (°2θ) | I_rel |
| --- | --- | --- | --- |
| 2 2 2 | 2.580 | 34.8 | 100 |
| 1 3 1 | 2.859 | 31.3 | 65 |
| 2 0 4 | 2.545 | 35.3 | 60 |
| 1 1 5 | 2.766 | 32.4 | 57 |
| 0 2 6 | 2.344 | 38.4 | 50 |
| 2 2 4 | 2.255 | 40.0 | 50 |
| 0 0 2 | 8.027 | 11.0 | 49 |
| 1 5 5 | 1.612 | 57.1 | 32 |
| 0 2 0 | 4.857 | 18.3 | 23 |
| 1 3 3 | 2.554 | 35.1 | 23 |
| 0 4 0 | 2.429 | 37.0 | 22 |
| 2 4 8 | 1.401 | 66.8 | 17 |